The following is a theoretical powder X-ray diffraction pattern of Pm3Te6Pb. It was derived from the GGA-PBE geometry in Alexandria, using Cu Ka.
No peak broadening, texture or thermal motion is included.

Most intense lines, 10 to 80 degrees two-theta, most intense first:
d = 3.303 Å, rel. 100.0, hkl 2 1 1
d = 3.239 Å, rel. 49.7, hkl 2 0 -4
d = 2.232 Å, rel. 41.3, hkl 0 2 0
d = 2.479 Å, rel. 32.6, hkl 4 1 -3
d = 3.015 Å, rel. 28.2, hkl 3 1 0
d = 2.490 Å, rel. 26.9, hkl 0 0 5
d = 3.628 Å, rel. 25.6, hkl 0 1 2
d = 2.267 Å, rel. 24.5, hkl 5 0 1
d = 2.888 Å, rel. 22.5, hkl 2 1 2
d = 3.201 Å, rel. 21.6, hkl 4 0 -2

a = 12.9906 Å, b = 4.4646 Å, c = 13.1903 Å
α = 90.00°, β = 109.29°, γ = 90.00°
Space group P2_1/m (No. 11)
Symmetry-distinct sites (fractional):
Pm1 0.0624 0.2500 0.1644 [2 per cell]
Pm2 0.1750 0.7500 0.4951 [2 per cell]
Pm3 0.3480 0.2500 0.9222 [2 per cell]
Te1 0.0081 0.2500 0.3786 [2 per cell]
Te2 0.1126 0.2500 0.9442 [2 per cell]
Te3 0.2310 0.7500 0.2734 [2 per cell]
Te4 0.2965 0.7500 0.7451 [2 per cell]
Te5 0.3698 0.2500 0.5193 [2 per cell]
Te6 0.4177 0.7500 0.0974 [2 per cell]
Pb1 0.4867 0.2500 0.3219 [2 per cell]



The following is a theoretical powder X-ray diffraction pattern of Pm2Te4Pb. It was derived from the GGA-PBE geometry in Alexandria, using Cu Ka.
No peak broadening, texture or thermal motion is included.

Most intense lines, 10 to 80 degrees two-theta, most intense first:
d = 2.759 Å, rel. 100.0, hkl 3 1 1
d = 2.267 Å, rel. 84.5, hkl 3 1 -3
d = 3.510 Å, rel. 65.4, hkl 1 1 1
d = 2.714 Å, rel. 64.9, hkl 5 1 -1
d = 2.696 Å, rel. 46.5, hkl 6 0 -2
d = 2.260 Å, rel. 43.8, hkl 0 2 0
d = 3.449 Å, rel. 36.7, hkl 4 0 -2
d = 3.464 Å, rel. 36.0, hkl 3 1 -1
d = 3.923 Å, rel. 35.3, hkl 2 0 -2
d = 2.122 Å, rel. 32.5, hkl 6 0 1

a = 16.9730 Å, b = 4.5192 Å, c = 7.8644 Å
α = 90.00°, β = 115.69°, γ = 90.00°
Space group C2/m (No. 12)
Symmetry-distinct sites (fractional):
Pm1 0.2361 0.0000 0.2231 [4 per cell]
Te1 0.1264 0.5000 0.9530 [4 per cell]
Te2 0.1394 0.0000 0.4893 [4 per cell]
Pb1 0.0000 0.5000 0.5000 [2 per cell]



The following is a theoretical powder X-ray diffraction pattern of Pm12TePb6. It was derived from the GGA-PBE geometry in Alexandria, using Cu Ka.
No peak broadening, texture or thermal motion is included.

Most intense lines, 10 to 80 degrees two-theta, most intense first:
d = 2.606 Å, rel. 100.0, hkl 1 4 0
d = 4.255 Å, rel. 73.0, hkl 2 1 1
d = 2.939 Å, rel. 45.5, hkl 3 1 2
d = 2.222 Å, rel. 30.7, hkl 2 4 1
d = 3.089 Å, rel. 23.7, hkl 1 0 4
d = 2.516 Å, rel. 21.2, hkl 5 -3 2
d = 2.032 Å, rel. 13.6, hkl 6 -5 2
d = 1.422 Å, rel. 12.5, hkl 5 2 6
d = 2.907 Å, rel. 12.2, hkl 3 0 3
d = 2.299 Å, rel. 11.5, hkl 4 -3 4

a = 13.7757 Å, b = 13.7757 Å, c = 12.7919 Å
α = 90.00°, β = 90.00°, γ = 120.00°
Space group R-3 (No. 148, hexagonal axes)
Symmetry-distinct sites (fractional):
Pm1 0.0315 0.1974 0.3891 [18 per cell]
Pm2 0.0533 0.2080 0.8755 [18 per cell]
Te1 0.0000 0.0000 0.0000 [3 per cell]
Pb1 0.0469 0.2779 0.6438 [18 per cell]



The following is a theoretical powder X-ray diffraction pattern of PmYTePb. It was derived from the GGA-PBE geometry in Alexandria, using Cu Ka.
No peak broadening, texture or thermal motion is included.

Most intense lines, 10 to 80 degrees two-theta, most intense first:
d = 3.164 Å, rel. 100.0, hkl 1 0 4
d = 2.237 Å, rel. 76.7, hkl 1 1 0
d = 1.415 Å, rel. 35.4, hkl 2 1 4
d = 1.827 Å, rel. 27.5, hkl 0 2 4
d = 1.292 Å, rel. 26.1, hkl 3 0 0
d = 1.582 Å, rel. 12.9, hkl 2 0 8
d = 7.313 Å, rel. 6.8, hkl 0 0 3
d = 3.653 Å, rel. 4.6, hkl 0 0 6
d = 3.814 Å, rel. 4.5, hkl 1 0 1
d = 1.908 Å, rel. 2.6, hkl 1 0 10

a = 4.4727 Å, b = 4.4727 Å, c = 21.9377 Å
α = 90.00°, β = 90.00°, γ = 120.00°
Space group R3m (No. 160, hexagonal axes)
Symmetry-distinct sites (fractional):
Pm1 0.0000 0.0000 0.0000 [3 per cell]
Y1 0.0000 0.0000 0.4945 [3 per cell]
Te1 0.0000 0.0000 0.2448 [3 per cell]
Pb1 0.0000 0.0000 0.7491 [3 per cell]